(1)
Computed X-ray powder pattern of TaBr3Cl2 for Cu Kα (λ = 1.5418 Å), from a crystal structure in Alexandria, relaxed with GGA-PBE.
Lines closer than 0.1° are merged.

Structural model:
a b c (Å): 13.259 7.460 11.014
angles (deg): 90.00 110.57 90.00
Space group C2/c (No. 15)
One atom of each set of equivalent atoms:
Ta 0.000 0.180 0.250 [4 per cell]
Br 0.000 0.147 0.750 [4 per cell]
Br 0.161 0.179 0.182 [8 per cell]
Cl 0.095 0.334 0.433 [8 per cell]

Main lines, in order of falling intensity (15 to 90 degrees two-theta):
| (hkl) | 2θ (°) | I_rel |
| --- | --- | --- |
| 0 0 2 | 17.2 | 100.0 |
| 1 1 1 | 17.6 | 80.5 |
| 1 1 2 | 24.1 | 48.6 |
| 4 0 -2 | 27.9 | 47.8 |
| 1 3 2 | 42.1 | 45.9 |
| 0 2 0 | 23.9 | 35.4 |
| 2 0 4 | 42.4 | 31.9 |
| 5 1 -3 | 38.5 | 26.3 |


(2)
Computed X-ray powder pattern of Ba3Ce2PaP6 for Cu Kα (λ = 1.5418 Å), from a crystal structure in Alexandria, relaxed with GGA-PBE.
Lines closer than 0.1° are merged.

Structural model:
a b c (Å): 7.413 12.839 7.692
angles (deg): 90.00 108.73 90.00
Space group C2/m (No. 12)
One atom of each set of equivalent atoms:
Ba 0.000 0.000 0.000 [2 per cell]
Ba 0.000 0.331 0.000 [4 per cell]
Ce 0.000 0.166 0.500 [4 per cell]
Pa 0.000 0.500 0.500 [2 per cell]
P 0.228 0.339 0.702 [8 per cell]
P 0.246 0.000 0.703 [4 per cell]

Main lines, in order of falling intensity (15 to 90 degrees two-theta):
| (hkl) | 2θ (°) | I_rel |
| --- | --- | --- |
| 1 3 1 | 29.1 | 100.0 |
| 2 0 0 | 25.4 | 62.0 |
| 0 6 0 | 42.2 | 36.6 |
| 2 0 2 | 41.0 | 35.9 |
| 0 0 2 | 24.4 | 25.6 |
| 3 3 1 | 49.4 | 23.2 |
| 4 0 0 | 52.1 | 19.4 |
| 4 6 0 | 69.2 | 16.4 |


(3)
Computed X-ray powder pattern of Hf12Sb6N for Cu Kα (λ = 1.5418 Å), from a crystal structure in Alexandria, relaxed with GGA-PBE.
Lines closer than 0.1° are merged.

Structural model:
a b c (Å): 11.9827 11.9827 10.4831
angles (deg): 90.00 90.00 120.00
Space group R-3 (No. 148, hexagonal axes)
One atom of each set of equivalent atoms:
Hf 0.0339 0.8595 0.3715 [18 per cell]
Hf 0.0610 0.8901 0.8752 [18 per cell]
Sb 0.0329 0.6161 0.3052 [18 per cell]
N 0.0000 0.0000 0.0000 [3 per cell]

Main lines, in order of falling intensity (15 to 90 degrees two-theta):
| (hkl) | 2θ (°) | I_rel |
| --- | --- | --- |
| 4 -1 2 | 35.6 | 100.0 |
| 1 0 4 | 35.3 | 55.2 |
| 2 3 2 | 41.7 | 51.5 |
| 0 4 2 | 38.7 | 31.3 |
| 2 2 0 | 29.8 | 27.5 |
| 4 -3 1 | 32.3 | 22.5 |
| 5 2 0 | 55.3 | 20.1 |
| 1 2 2 | 28.4 | 20.0 |


(4)
Computed X-ray powder pattern of CeY2Tm6 for Cu Kα (λ = 1.5418 Å), from a crystal structure in Alexandria, relaxed with GGA-PBE.
Lines closer than 0.1° are merged.

Structural model:
a b c (Å): 8.833 9.534 13.210
angles (deg): 90.00 98.47 90.00
Space group C2/c (No. 15)
One atom of each set of equivalent atoms:
Ce 0.000 0.000 0.250 [4 per cell]
Y 0.180 0.331 0.323 [8 per cell]
Tm 0.007 0.168 0.487 [8 per cell]
Tm 0.151 0.332 0.845 [8 per cell]
Tm 0.171 0.499 0.083 [8 per cell]

Main lines, in order of falling intensity (15 to 90 degrees two-theta):
| (hkl) | 2θ (°) | I_rel |
| --- | --- | --- |
| 1 3 -2 | 32.3 | 100.0 |
| 1 1 4 | 32.1 | 62.5 |
| 2 0 -4 | 31.7 | 32.1 |
| 3 3 -6 | 56.8 | 15.5 |
| 0 2 6 | 45.8 | 11.4 |
| 4 2 -2 | 46.0 | 11.2 |
| 2 4 2 | 46.5 | 11.1 |
| 3 3 6 | 64.1 | 9.4 |


(5)
Computed X-ray powder pattern of AcTlTcO6 for Cu Kα (λ = 1.5418 Å), from a crystal structure in Alexandria, relaxed with GGA-PBE.
Lines closer than 0.1° are merged.

Structural model:
a b c (Å): 5.6394 5.6394 5.1743
angles (deg): 90.00 90.00 120.00
Space group P312 (No. 149)
One atom of each set of equivalent atoms:
Ac 0.0000 0.0000 0.0000 [1 per cell]
Tl 0.3333 0.6667 0.5000 [1 per cell]
Tc 0.6667 0.3333 0.5000 [1 per cell]
O 0.3887 0.0488 0.7143 [6 per cell]

Main lines, in order of falling intensity (15 to 90 degrees two-theta):
| (hkl) | 2θ (°) | I_rel |
| --- | --- | --- |
| 1 0 1 | 25.1 | 100.0 |
| 1 1 0 | 31.7 | 42.8 |
| 2 -1 2 | 47.7 | 38.3 |
| 2 0 1 | 40.9 | 27.4 |
| 3 -1 1 | 52.6 | 27.2 |
| 3 0 0 | 56.6 | 23.2 |
| 2 2 0 | 66.3 | 12.7 |
| 3 1 1 | 72.1 | 10.9 |


Number 2 is which compound?
Ba3Ce2PaP6